(1)
For CoBiOs2, the GGA-PBE geometry in OQMD gives the calculated PXRD pattern in this record (copper Kα).
Neutral-atom scattering factors, no anomalous dispersion.

Structure:
Unit cell a=4.518 b=4.518 c=4.518 alpha=60.00 beta=60.00 gamma=60.00
Sites, in units of the cell vectors:
Co  0.000  0.000  0.000
Bi  0.750  0.750  0.750
Os  0.250  0.250  0.250
Os  0.500  0.500  0.500

Main lines, in order of rising 2θ (2θ from 10° to 90°):
2θ (°), Rel. int.
24.1, 92
27.9, 63
39.9, 1000
57.7, 172
72.5, 351
86.1, 115

(2)
For Ac2Ni2P, the GGA-PBE geometry in OQMD gives the calculated PXRD pattern in this record (copper Kα).
Neutral-atom scattering factors, no anomalous dispersion.

Structure:
Unit cell a=8.224 b=8.224 c=7.734 alpha=90.00 beta=90.00 gamma=153.01
Sites, in units of the cell vectors:
Ac  0.105  0.895  0.507
Ac  0.105  0.895  0.993
Ac  0.895  0.105  0.007
Ac  0.895  0.105  0.493
Ni  0.265  0.735  0.100
Ni  0.265  0.735  0.400
Ni  0.735  0.265  0.600
Ni  0.735  0.265  0.900
P  0.494  0.506  0.750
P  0.506  0.494  0.250

Main lines, in order of rising 2θ (2θ from 10° to 90°):
2θ (°), Rel. int.
23.0, 907
23.8, 759
32.2, 561
33.4, 1000
36.6, 792
43.6, 620

(3)
For RbLuSeO, the GGA-PBE geometry in OQMD gives the calculated PXRD pattern in this record (copper Kα).
Neutral-atom scattering factors, no anomalous dispersion.

Structure:
Unit cell a=8.063 b=7.285 c=6.445 alpha=90.00 beta=99.29 gamma=90.00
Sites, in units of the cell vectors:
Rb  0.091  0.207  0.477
Rb  0.091  0.293  0.977
Rb  0.909  0.707  0.023
Rb  0.909  0.793  0.523
Lu  0.479  0.627  0.781
Lu  0.479  0.873  0.281
Lu  0.521  0.127  0.719
Lu  0.521  0.373  0.219
Se  0.256  0.594  0.374
Se  0.256  0.906  0.874
Se  0.744  0.094  0.126
Se  0.744  0.406  0.626
O  0.414  0.147  0.387
O  0.414  0.353  0.887
O  0.586  0.647  0.113
O  0.586  0.853  0.613

Main lines, in order of rising 2θ (2θ from 10° to 90°):
2θ (°), Rel. int.
11.1, 1000
22.3, 266
29.6, 897
31.9, 720
34.8, 307
37.7, 477

(4)
For BiMo2C, the GGA-PBE geometry in OQMD gives the calculated PXRD pattern in this record (copper Kα).
Neutral-atom scattering factors, no anomalous dispersion.

Structure:
Unit cell a=3.295 b=3.295 c=13.613 alpha=90.00 beta=90.00 gamma=120.00
Sites, in units of the cell vectors:
Bi  0.333  0.667  0.250
Bi  0.667  0.333  0.750
Mo  0.333  0.667  0.576
Mo  0.333  0.667  0.924
Mo  0.667  0.333  0.076
Mo  0.667  0.333  0.424
C  0.000  0.000  0.000
C  0.000  0.000  0.500

Main lines, in order of rising 2θ (2θ from 10° to 90°):
2θ (°), Rel. int.
31.3, 238
37.2, 1000
39.7, 171
55.8, 216
69.0, 173
70.7, 191

(5)
For NdTe2, the GGA-PBE geometry in OQMD gives the calculated PXRD pattern in this record (copper Kα).
Neutral-atom scattering factors, no anomalous dispersion.

Structure:
Unit cell a=4.507 b=4.507 c=9.153 alpha=90.00 beta=90.00 gamma=90.00
Sites, in units of the cell vectors:
Nd  0.000  0.000  0.000
Nd  0.500  0.500  0.456
Te  0.000  0.000  0.359
Te  0.000  0.500  0.727
Te  0.500  0.000  0.727
Te  0.500  0.500  0.098

Main lines, in order of rising 2θ (2θ from 10° to 90°):
2θ (°), Rel. int.
29.3, 387
29.7, 1000
34.3, 966
35.5, 522
40.0, 656
50.3, 340

(6)
For KRb2HgCl6, the GGA-PBE geometry in OQMD gives the calculated PXRD pattern in this record (copper Kα).
Neutral-atom scattering factors, no anomalous dispersion.

Structure:
Unit cell a=7.863 b=7.863 c=7.863 alpha=123.76 beta=123.76 gamma=83.61
Sites, in units of the cell vectors:
K  0.000  0.000  0.000
Rb  0.250  0.750  0.500
Rb  0.750  0.250  0.500
Hg  0.500  0.500  0.000
Cl  0.183  0.629  0.813
Cl  0.259  0.259  0.000
Cl  0.371  0.183  0.554
Cl  0.629  0.817  0.446
Cl  0.741  0.741  0.000
Cl  0.817  0.371  0.187

Main lines, in order of rising 2θ (2θ from 10° to 90°):
2θ (°), Rel. int.
14.1, 1000
22.8, 925
24.0, 882
30.5, 507
39.2, 478
41.5, 754

(7)
For Th2C3, the GGA-PBE geometry in OQMD gives the calculated PXRD pattern in this record (copper Kα).
Neutral-atom scattering factors, no anomalous dispersion.

Structure:
Unit cell a=7.404 b=7.404 c=7.404 alpha=109.47 beta=109.47 gamma=109.47
Sites, in units of the cell vectors:
Th  0.000  0.404  0.500
Th  0.000  0.904  0.500
Th  0.096  0.096  0.096
Th  0.404  0.500  0.000
Th  0.500  0.000  0.404
Th  0.500  0.000  0.904
Th  0.596  0.596  0.596
Th  0.904  0.500  0.000
C  0.042  0.750  0.792
C  0.208  0.750  0.958
C  0.250  0.542  0.292
C  0.250  0.708  0.458
C  0.292  0.250  0.542
C  0.458  0.250  0.708
C  0.542  0.292  0.250
C  0.708  0.458  0.250
C  0.750  0.792  0.042
C  0.750  0.958  0.208
C  0.792  0.042  0.750
C  0.958  0.208  0.750

Main lines, in order of rising 2θ (2θ from 10° to 90°):
2θ (°), Rel. int.
25.5, 410
29.6, 1000
33.1, 806
39.4, 394
54.8, 570
59.2, 295

(8)
For K2PtI6, the GGA-PBE geometry in OQMD gives the calculated PXRD pattern in this record (copper Kα).
Neutral-atom scattering factors, no anomalous dispersion.

Structure:
Unit cell a=7.820 b=7.820 c=11.866 alpha=90.00 beta=90.00 gamma=90.00
Sites, in units of the cell vectors:
K  0.000  0.500  0.250
K  0.000  0.500  0.750
K  0.500  0.000  0.250
K  0.500  0.000  0.750
Pt  0.000  0.000  0.000
Pt  0.500  0.500  0.500
I  0.000  0.000  0.229
I  0.000  0.000  0.771
I  0.193  0.289  0.000
I  0.211  0.307  0.500
I  0.289  0.807  0.000
I  0.307  0.789  0.500
I  0.500  0.500  0.271
I  0.500  0.500  0.729
I  0.693  0.211  0.500
I  0.711  0.193  0.000
I  0.789  0.693  0.500
I  0.807  0.711  0.000

Main lines, in order of rising 2θ (2θ from 10° to 90°):
2θ (°), Rel. int.
13.6, 1000
16.0, 540
27.3, 931
30.1, 591
32.4, 734
44.8, 539